Computed PXRD pattern
Compound: Dy7Te2Os2
Radiation: Cu Kα X-rays
Structure: the GGA-PBE geometry in Alexandria

Largest 12 diffraction maxima, most intense first, 2θ = 15–90°:
2theta  I_rel
33.29  100.0
33.47  42.8
34.10  42.5
30.00  36.2
45.43  35.2
38.43  28.1
36.65  21.2
57.59  18.1
29.79  17.4
59.50  14.0
28.02  12.8
39.23  12.3

Crystal structure
a = 9.402 Å, b = 9.402 Å, c = 9.402 Å
α = 155.48°, β = 65.26°, γ = 120.58°
Sites, in units of the cell vectors:
Dy 0.000 0.000 0.000
Dy 0.058 0.373 0.685
Dy 0.088 0.739 0.349
Dy 0.390 0.739 0.651
Dy 0.450 0.583 0.867
Dy 0.688 0.373 0.315
Dy 0.716 0.583 0.133
Te 0.334 0.334 0.000
Te 0.736 0.236 0.500
Os 0.307 0.068 0.239
Os 0.829 0.068 0.761